# 1
Structure and simulated XRD peak list of Ag4SnAu2 (a crystal structure in Alexandria, relaxed with GGA-PBE; Cu Kα (weighted mean of Kα1 and Kα2)).
Lines closer than 0.1° are merged.

Most intense lines, 15° ≤ 2θ ≤ 90°, in order of falling intensity:
Position (°2θ)	Rel. int.
38.8	100
41.2	85
39.1	74
35.7	74
32.7	46
36.4	44
37.4	41
39.5	39
42.4	33
40.0	31

Crystal structure
```
Ag4SnAu2
1.0
7.309 0.000 0.000
0.000 5.474 0.000
-3.548 0.000 6.802
Ag Sn Au
8 2 4
Direct
0.012 0.250 0.428
0.051 0.250 0.804
0.385 0.002 0.770
0.385 0.498 0.770
0.615 0.502 0.230
0.615 0.998 0.230
0.949 0.750 0.196
0.988 0.750 0.572
0.245 0.250 0.219
0.755 0.750 0.781
0.210 0.750 0.997
0.389 0.750 0.423
0.611 0.250 0.577
0.790 0.250 0.003
```

***

# 2
Structure and simulated XRD peak list of Tb4Tm2Sc (a crystal structure in Alexandria, relaxed with GGA-PBE; Cu Kα (weighted mean of Kα1 and Kα2)).
Lines closer than 0.1° are merged.

Most intense lines, 15° ≤ 2θ ≤ 90°, in order of falling intensity:
Position (°2θ)	Rel. int.
32.2	100
33.7	87
32.4	50
33.8	41
29.5	30
31.6	21
28.7	19
44.2	17
52.8	17
67.1	17

Crystal structure
```
Tb4Tm2Sc
1.0
6.058 0.000 0.000
0.000 6.466 0.000
-2.967 0.000 10.900
Tb Tm Sc
8 4 2
Direct
0.038 0.250 0.369
0.149 0.250 0.942
0.355 0.506 0.214
0.355 0.994 0.214
0.645 0.006 0.786
0.645 0.494 0.786
0.851 0.750 0.058
0.962 0.750 0.631
0.282 0.750 0.922
0.388 0.750 0.500
0.612 0.250 0.500
0.718 0.250 0.078
0.155 0.250 0.663
0.845 0.750 0.337
```

***

# 3
Structure and simulated XRD peak list of CeNd12Sm2 (a crystal structure in Alexandria, relaxed with GGA-PBE; Cu Kα (weighted mean of Kα1 and Kα2)).
Lines closer than 0.1° are merged.

Most intense lines, 15° ≤ 2θ ≤ 90°, in order of falling intensity:
Position (°2θ)	Rel. int.
30.0	100
30.6	98
32.3	78
29.2	64
32.5	55
36.3	53
28.6	32
60.4	26
31.1	26
61.4	25

Crystal structure
```
CeNd12Sm2
1.0
3.601 -5.845 0.000
3.601 5.845 0.000
0.000 0.000 25.148
Ce Nd Sm
2 24 4
Direct
0.250 0.750 0.999
0.750 0.250 0.001
0.002 0.502 0.873
0.003 0.997 0.072
0.020 0.520 0.417
0.024 0.976 0.560
0.250 0.250 0.198
0.250 0.250 0.325
0.250 0.250 0.675
0.250 0.250 0.802
0.476 0.524 0.560
0.480 0.980 0.417
0.497 0.503 0.072
0.498 0.998 0.873
0.502 0.002 0.127
0.503 0.497 0.928
0.520 0.020 0.583
0.524 0.476 0.440
0.750 0.750 0.198
0.750 0.750 0.325
0.750 0.750 0.675
0.750 0.750 0.802
0.976 0.024 0.440
0.980 0.480 0.583
0.997 0.003 0.928
0.998 0.498 0.127
0.250 0.750 0.266
0.250 0.750 0.728
0.750 0.250 0.272
0.750 0.250 0.734
```

***

# 4
Structure and simulated XRD peak list of Ce2TlBr8 (a crystal structure in Alexandria, relaxed with GGA-PBE; Cu Kα (weighted mean of Kα1 and Kα2)).
Lines closer than 0.1° are merged.

Most intense lines, 15° ≤ 2θ ≤ 90°, in order of falling intensity:
Position (°2θ)	Rel. int.
30.9	100
31.9	85
36.3	76
33.4	58
19.9	57
40.2	50
20.4	44
27.5	43
31.2	43
37.7	39

Crystal structure
```
Ce2TlBr8
1.0
4.548 -6.694 0.000
4.548 6.694 0.000
-1.080 0.000 5.731
Ce Tl Br
2 1 8
Direct
0.182 0.818 0.000
0.818 0.182 0.000
0.500 0.500 0.500
0.101 0.101 0.282
0.172 0.442 0.921
0.245 0.755 0.500
0.442 0.172 0.921
0.558 0.828 0.079
0.755 0.245 0.500
0.828 0.558 0.079
0.899 0.899 0.718
```

***

# 5
Structure and simulated XRD peak list of Sm3Zn6Ga5 (a crystal structure in Alexandria, relaxed with GGA-PBE; Cu Kα (weighted mean of Kα1 and Kα2)).
Lines closer than 0.1° are merged.

Most intense lines, 15° ≤ 2θ ≤ 90°, in order of falling intensity:
Position (°2θ)	Rel. int.
35.0	100
42.1	31
34.7	27
34.9	22
42.7	21
29.6	15
61.5	14
37.5	13
72.3	12
55.8	11

Crystal structure
```
Sm3Zn6Ga5
1.0
4.294 0.000 0.000
0.000 12.713 0.000
0.000 0.000 9.722
Sm Zn Ga
6 12 10
Direct
0.250 0.063 0.248
0.250 0.437 0.248
0.250 0.750 0.251
0.750 0.250 0.749
0.750 0.563 0.752
0.750 0.937 0.752
0.250 0.086 0.615
0.250 0.250 0.036
0.250 0.250 0.460
0.250 0.414 0.615
0.250 0.601 0.981
0.250 0.899 0.981
0.750 0.101 0.019
0.750 0.399 0.019
0.750 0.586 0.385
0.750 0.750 0.540
0.750 0.750 0.964
0.750 0.914 0.385
0.250 0.091 0.874
0.250 0.409 0.874
0.250 0.612 0.526
0.250 0.750 0.769
0.250 0.888 0.526
0.750 0.112 0.474
0.750 0.250 0.231
0.750 0.388 0.474
0.750 0.591 0.126
0.750 0.909 0.126
```

***

# 6
Structure and simulated XRD peak list of CeScPtO6 (a crystal structure in Alexandria, relaxed with GGA-PBE; Cu Kα (weighted mean of Kα1 and Kα2)).
Lines closer than 0.1° are merged.

Most intense lines, 15° ≤ 2θ ≤ 90°, in order of falling intensity:
Position (°2θ)	Rel. int.
25.7	100
32.7	84
49.9	68
20.2	42
36.7	23
63.5	20
52.9	17
62.2	16
59.7	16
75.7	14

Crystal structure
```
CeScPtO6
1.0
4.899 0.000 0.000
0.000 4.899 0.000
0.000 0.000 9.923
Ce Sc Pt O
2 2 2 12
Direct
0.000 0.000 0.000
0.500 0.500 0.500
0.000 0.000 0.663
0.500 0.500 0.163
0.000 0.000 0.329
0.500 0.500 0.829
0.181 0.181 0.487
0.198 0.198 0.180
0.211 0.211 0.822
0.289 0.711 0.322
0.302 0.698 0.680
0.319 0.681 0.987
0.681 0.319 0.987
0.698 0.302 0.680
0.711 0.289 0.322
0.789 0.789 0.822
0.802 0.802 0.180
0.819 0.819 0.487
```

***

# 7
Structure and simulated XRD peak list of In4Bi3 (a crystal structure in Alexandria, relaxed with GGA-PBE; Cu Kα (weighted mean of Kα1 and Kα2)).
Lines closer than 0.1° are merged.

Most intense lines, 15° ≤ 2θ ≤ 90°, in order of falling intensity:
Position (°2θ)	Rel. int.
31.4	100
33.4	87
46.6	29
58.5	23
29.0	20
22.8	15
54.7	14
59.8	11
60.9	9
79.0	7

Crystal structure
```
In4Bi3
1.0
7.090 4.093 2.402
-7.090 4.093 2.402
0.000 -8.187 2.402
In Bi
8 6
Direct
0.000 0.000 0.000
0.106 0.786 0.639
0.214 0.361 0.894
0.361 0.894 0.214
0.500 0.500 0.500
0.639 0.106 0.786
0.786 0.639 0.106
0.894 0.214 0.361
0.118 0.510 0.250
0.250 0.118 0.510
0.490 0.750 0.882
0.510 0.250 0.118
0.750 0.882 0.490
0.882 0.490 0.750
```

***

# 8
Structure and simulated XRD peak list of Sm2Zn5Ru5 (a crystal structure in Alexandria, relaxed with GGA-PBE; Cu Kα (weighted mean of Kα1 and Kα2)).
Lines closer than 0.1° are merged.

Most intense lines, 15° ≤ 2θ ≤ 90°, in order of falling intensity:
Position (°2θ)	Rel. int.
39.9	100
40.7	55
42.9	48
39.6	48
28.8	46
28.5	32
59.8	28
38.4	27
85.9	25
33.4	24

Crystal structure
```
Sm2Zn5Ru5
1.0
4.220 0.000 0.000
0.000 5.207 0.000
0.000 0.000 9.374
Sm Zn Ru
2 5 5
Direct
0.000 0.000 0.000
0.000 0.500 0.500
0.000 0.000 0.330
0.000 0.000 0.670
0.000 0.500 0.167
0.000 0.500 0.833
0.500 0.000 0.500
0.500 0.245 0.250
0.500 0.245 0.750
0.500 0.500 0.000
0.500 0.755 0.250
0.500 0.755 0.750
```

***

# 9
Structure and simulated XRD peak list of La3HfGa (a crystal structure in Alexandria, relaxed with GGA-PBE; Cu Kα (weighted mean of Kα1 and Kα2)).
Lines closer than 0.1° are merged.

Most intense lines, 15° ≤ 2θ ≤ 90°, in order of falling intensity:
Position (°2θ)	Rel. int.
30.6	100
43.9	75
15.2	70
26.4	43
34.3	39
72.4	33
54.4	26
80.6	25
46.7	21
51.9	19

Crystal structure
```
La3HfGa
1.0
5.838 0.000 0.000
0.000 5.838 0.000
0.000 0.000 5.838
La Hf Ga
3 1 1
Direct
0.000 0.000 0.500
0.000 0.500 0.000
0.500 0.000 0.000
0.000 0.000 0.000
0.500 0.500 0.500
```

***

# 10
Structure and simulated XRD peak list of Ce3Th4PaP8 (a crystal structure in Alexandria, relaxed with GGA-PBE; Cu Kα (weighted mean of Kα1 and Kα2)).
Lines closer than 0.1° are merged.

Most intense lines, 15° ≤ 2θ ≤ 90°, in order of falling intensity:
Position (°2θ)	Rel. int.
30.9	100
26.6	74
52.3	38
44.1	37
44.3	37
26.7	25
54.8	20
81.3	20
72.9	17
73.1	17

Crystal structure
```
Ce3Th4PaP8
1.0
4.104 2.369 6.673
-4.104 2.369 6.673
0.000 -4.739 6.673
Ce Th Pa P
3 4 1 8
Direct
0.000 0.500 0.500
0.500 0.000 0.500
0.500 0.500 0.000
0.000 0.000 0.500
0.000 0.500 0.000
0.500 0.000 0.000
0.500 0.500 0.500
0.000 0.000 0.000
0.245 0.245 0.752
0.245 0.752 0.245
0.248 0.755 0.755
0.252 0.252 0.252
0.748 0.748 0.748
0.752 0.245 0.245
0.755 0.248 0.755
0.755 0.755 0.248
```

***

# 11
Structure and simulated XRD peak list of NaSr8LaTi10O30 (a crystal structure in Alexandria, relaxed with GGA-PBE; Cu Kα (weighted mean of Kα1 and Kα2)).
Lines closer than 0.1° are merged.

Most intense lines, 15° ≤ 2θ ≤ 90°, in order of falling intensity:
Position (°2θ)	Rel. int.
32.2	100
46.1	42
57.3	38
67.3	24
39.7	21
76.5	16
85.4	8
81.0	6
22.6	3
16.5	3

Crystal structure
```
NaSr8LaTi10O30
1.0
5.567 0.000 0.000
0.000 5.567 0.000
0.000 0.000 19.682
Na Sr La Ti O
1 8 1 10 30
Direct
0.000 0.000 0.000
0.000 0.000 0.198
0.000 0.000 0.400
0.000 0.000 0.600
0.000 0.000 0.802
0.500 0.500 0.200
0.500 0.500 0.400
0.500 0.500 0.600
0.500 0.500 0.800
0.500 0.500 0.000
0.000 0.500 0.099
0.000 0.500 0.299
0.000 0.500 0.500
0.000 0.500 0.701
0.000 0.500 0.901
0.500 0.000 0.099
0.500 0.000 0.299
0.500 0.000 0.500
0.500 0.000 0.701
0.500 0.000 0.901
0.000 0.500 0.000
0.000 0.500 0.199
0.000 0.500 0.400
0.000 0.500 0.600
0.000 0.500 0.801
0.250 0.250 0.299
0.250 0.250 0.500
0.250 0.250 0.701
0.250 0.750 0.299
0.250 0.750 0.500
0.250 0.750 0.701
0.256 0.256 0.098
0.256 0.256 0.902
0.256 0.744 0.098
0.256 0.744 0.902
0.500 0.000 0.000
0.500 0.000 0.199
0.500 0.000 0.400
0.500 0.000 0.600
0.500 0.000 0.801
0.744 0.256 0.098
0.744 0.256 0.902
0.744 0.744 0.098
0.744 0.744 0.902
0.750 0.250 0.299
0.750 0.250 0.500
0.750 0.250 0.701
0.750 0.750 0.299
0.750 0.750 0.500
0.750 0.750 0.701
```